Structure and calculated powder XRD pattern of Cs2GaHgI6 (a structure optimized by DFT (PBE); Cu Kα X-rays).

Largest 6 diffraction maxima, in order of rising 2θ, 2θ = 10–80°:
2θ (°), Rel. int.
25.75, 646
29.82, 1000
42.68, 739
50.52, 283
52.94, 258
70.26, 327

Cell and atoms:
a = 11.983 Å, b = 11.983 Å, c = 11.983 Å
α = 90.00°, β = 90.00°, γ = 90.00°
Space group Fm-3m (No. 225)
Unique sites:
Cs 0.250 0.250 0.250 x8
Ga 0.000 0.000 0.000 x4
Hg 0.000 0.000 0.500 x4
I 0.000 0.000 0.242 x24

Structure and calculated powder XRD pattern of CsGa5Hg4Se12 (a structure optimized by DFT (PBE); Cu Kα X-rays).

Largest 6 diffraction maxima, in order of rising 2θ, 2θ = 10–80°:
2θ (°), Rel. int.
11.22, 273
26.47, 530
26.62, 515
26.76, 1000
44.25, 473
52.41, 285

Cell and atoms:
a = 9.140 Å, b = 9.155 Å, c = 9.207 Å
α = 107.14°, β = 108.07°, γ = 107.41°
Space group P1 (No. 1)
Unique sites:
Cs 0.000 0.000 0.000 x1
Ga 0.020 0.190 0.560 x1
Ga 0.332 0.938 0.485 x1
Ga 0.486 0.338 0.945 x1
Ga 0.564 0.030 0.192 x1
Ga 0.941 0.491 0.344 x1
Hg 0.193 0.568 0.024 x1
Hg 0.403 0.639 0.718 x1
Hg 0.633 0.712 0.401 x1
Hg 0.712 0.399 0.634 x1
Se 0.069 0.701 0.249 x1
Se 0.141 0.371 0.437 x1
Se 0.236 0.086 0.690 x1
Se 0.311 0.815 0.939 x1
Se 0.380 0.420 0.151 x1
Se 0.430 0.137 0.366 x1
Se 0.560 0.883 0.639 x1
Se 0.641 0.556 0.884 x1
Se 0.699 0.238 0.087 x1
Se 0.789 0.943 0.297 x1
Se 0.886 0.642 0.568 x1
Se 0.927 0.275 0.773 x1

Structure and calculated powder XRD pattern of Cs2KGaI6 (a structure optimized by DFT (PBE); Cu Kα X-rays).

Largest 6 diffraction maxima, in order of rising 2θ, 2θ = 10–80°:
2θ (°), Rel. int.
24.77, 1000
28.67, 813
41.00, 561
48.49, 392
50.80, 183
67.25, 202

Cell and atoms:
a = 12.453 Å, b = 12.453 Å, c = 12.453 Å
α = 90.00°, β = 90.00°, γ = 90.00°
Space group Fm-3m (No. 225)
Unique sites:
Cs 0.250 0.250 0.250 x8
K 0.000 0.000 0.000 x4
Ga 0.000 0.000 0.500 x4
I 0.000 0.000 0.273 x24

Structure and calculated powder XRD pattern of Cs6K3GaSb4 (a structure optimized by DFT (PBE); Cu Kα X-rays).

Largest 6 diffraction maxima, in order of rising 2θ, 2θ = 10–80°:
2θ (°), Rel. int.
23.87, 215
24.35, 186
24.61, 223
28.78, 1000
47.12, 204
49.64, 178

Cell and atoms:
a = 11.1683 Å, b = 11.1683 Å, c = 11.7040 Å
α = 90.00°, β = 90.00°, γ = 120.00°
Space group P6_3/mmc (No. 194)
Unique sites:
Cs 0.2094 0.4188 0.0416 x12
K 0.1190 0.2381 0.7500 x6
Ga 0.3333 0.6667 0.7500 x2
Sb 0.0000 0.0000 0.0000 x2
Sb 0.0548 0.5274 0.7500 x6

Structure and calculated powder XRD pattern of Cs2Li3GaO4 (a structure optimized by DFT (PBE); Cu Kα X-rays).

Largest 6 diffraction maxima, in order of rising 2θ, 2θ = 10–80°:
2θ (°), Rel. int.
14.74, 268
25.90, 963
29.74, 353
33.52, 1000
38.40, 308
38.58, 307

Cell and atoms:
a = 5.091 Å, b = 10.128 Å, c = 12.018 Å
α = 90.00°, β = 90.00°, γ = 90.00°
Space group Ibam (No. 72)
Unique sites:
Cs 0.239 0.128 0.000 x8
Li 0.000 0.000 0.250 x4
Li 0.000 0.240 0.250 x8
Ga 0.000 0.500 0.250 x4
O 0.232 0.383 0.176 x16

Structure and calculated powder XRD pattern of CsMg6Ga (a structure optimized by DFT (PBE); Cu Kα X-rays).

Largest 6 diffraction maxima, in order of rising 2θ, 2θ = 10–80°:
2θ (°), Rel. int.
13.22, 452
22.79, 454
23.74, 266
29.78, 266
31.14, 247
32.60, 1000

Cell and atoms:
a = 4.800 Å, b = 8.073 Å, c = 11.999 Å
α = 90.00°, β = 90.00°, γ = 90.00°
Space group Amm2 (No. 38)
Unique sites:
Cs 0.000 0.000 0.000 x2
Mg 0.000 0.000 0.434 x2
Mg 0.000 0.201 0.731 x4
Mg 0.500 0.000 0.277 x2
Mg 0.500 0.179 0.547 x4
Ga 0.500 0.000 0.763 x2

Structure and calculated powder XRD pattern of CsMg6Ga (a structure optimized by DFT (PBE); Cu Kα X-rays).

Largest 6 diffraction maxima, in order of rising 2θ, 2θ = 10–80°:
2θ (°), Rel. int.
14.96, 370
17.95, 274
20.64, 1000
27.50, 706
35.33, 521
46.03, 275

Cell and atoms:
a = 4.942 Å, b = 6.287 Å, c = 17.671 Å
α = 90.00°, β = 90.00°, γ = 90.00°
Space group Amm2 (No. 38)
Unique sites:
Cs 0.000 0.000 0.000 x2
Mg 0.000 0.240 0.725 x4
Mg 0.500 0.000 0.182 x2
Mg 0.500 0.000 0.671 x2
Mg 0.500 0.250 0.338 x4
Ga 0.000 0.000 0.354 x2

Structure and calculated powder XRD pattern of CsMg14GaO16 (a structure optimized by DFT (PBE); Cu Kα X-rays).

Largest 6 diffraction maxima, in order of rising 2θ, 2θ = 10–80°:
2θ (°), Rel. int.
10.01, 635
35.13, 765
39.59, 1000
40.83, 865
41.91, 801
58.18, 545

Cell and atoms:
a = 4.553 Å, b = 8.622 Å, c = 8.840 Å
α = 90.00°, β = 90.00°, γ = 90.00°
Space group Pmmm (No. 47)
Unique sites:
Cs 0.000 0.000 0.000 x1
Mg 0.000 0.000 0.500 x1
Mg 0.000 0.251 0.262 x4
Mg 0.000 0.500 0.500 x1
Mg 0.500 0.000 0.261 x2
Mg 0.500 0.251 0.500 x2
Mg 0.500 0.255 0.000 x2
Mg 0.500 0.500 0.254 x2
Ga 0.000 0.500 0.000 x1
O 0.000 0.000 0.287 x2
O 0.000 0.260 0.500 x2
O 0.000 0.292 0.000 x2
O 0.000 0.500 0.254 x2
O 0.500 0.000 0.000 x1
O 0.500 0.000 0.500 x1
O 0.500 0.251 0.249 x4
O 0.500 0.500 0.000 x1
O 0.500 0.500 0.500 x1

Structure and calculated powder XRD pattern of CsMg14GaO16 (a structure optimized by DFT (PBE); Cu Kα X-rays).

Largest 6 diffraction maxima, in order of rising 2θ, 2θ = 10–80°:
2θ (°), Rel. int.
14.20, 367
35.14, 444
40.52, 540
40.93, 1000
58.96, 603
59.27, 284

Cell and atoms:
a = 8.819 Å, b = 8.819 Å, c = 4.453 Å
α = 90.00°, β = 90.00°, γ = 90.00°
Space group P4/mmm (No. 123)
Unique sites:
Cs 0.000 0.000 0.000 x1
Mg 0.000 0.263 0.500 x4
Mg 0.000 0.500 0.000 x2
Mg 0.250 0.500 0.500 x4
Mg 0.253 0.253 0.000 x4
Ga 0.500 0.500 0.000 x1
O 0.000 0.000 0.500 x1
O 0.000 0.287 0.000 x4
O 0.000 0.500 0.500 x2
O 0.251 0.251 0.500 x4
O 0.265 0.500 0.000 x4
O 0.500 0.500 0.500 x1